Calculated X-ray powder pattern
Compound: K2Na4Co2O5
Radiation: Cu Kα (weighted mean of Kα1 and Kα2)
Structure: a DFT-relaxed cell (GGA+U, Alexandria)

Cell and atoms:
Lattice parameters (Å, degrees): 6.381 6.381 12.276 90.00 121.30 90.00
Space group P2_1/c (No. 14)
Inequivalent atoms, fractional coordinates:
K1 0.200 0.195 0.004
Na1 0.248 0.002 0.750
Na2 0.280 0.502 0.780
Co1 0.288 0.713 0.002
O1 0.053 0.709 0.341
O2 0.378 0.717 0.664
O3 0.500 0.000 0.500

Principal peaks in the range 2θ from 10° to 90°, low angle first:
hkl 0 0 2, 16.91 deg, I = 260; hkl 1 1 -2, 21.44 deg, I = 377; hkl 2 0 -2, 27.97 deg, I = 226; hkl 2 0 0, 32.86 deg, I = 1000; hkl 0 0 4, 34.19 deg, I = 310; hkl 1 2 1, 35.82 deg, I = 402; hkl 2 2 -2, 39.96 deg, I = 550; hkl 2 2 2, 53.59 deg, I = 211; hkl 2 0 4, 60.38 deg, I = 232; hkl 1 4 1, 62.58 deg, I = 186